# Ca3La2Sn4
Theoretical PXRD pattern, a wavelength of 1.5418 Å. Input: a DFT-relaxed cell (GGA-PBE, Alexandria).
Lines closer than 0.1° are merged.

a b c (Å): 9.4378 9.4378 9.2411
angles (deg): 90.00 90.00 136.21
Fractional coordinates of all 18 atoms:
1 Ca 0.0000 0.0000 0.0000
2 Ca 0.0417 0.4583 0.2500
3 Ca 0.4583 0.0417 0.7500
4 Ca 0.5000 0.5000 0.5000
5 Ca 0.5417 0.9583 0.2500
6 Ca 0.9583 0.5417 0.7500
7 La 0.1109 0.8891 0.4106
8 La 0.3891 0.6109 0.9106
9 La 0.6109 0.3891 0.0894
10 La 0.8891 0.1109 0.5894
11 Sn 0.1837 0.8163 0.0547
12 Sn 0.2181 0.2819 0.2500
13 Sn 0.2819 0.2181 0.7500
14 Sn 0.3163 0.6837 0.5547
15 Sn 0.6837 0.3163 0.4453
16 Sn 0.7181 0.7819 0.2500
17 Sn 0.7819 0.7181 0.7500
18 Sn 0.8163 0.1837 0.9453

Peak list (12 most intense, 10° ≤ 2θ ≤ 90°, in order of rising 2θ)
two_theta	d [Å]	I (rel.)
21.75	4.087	22
27.69	3.221	40
28.08	3.178	25
29.00	3.079	61
30.09	2.970	100
30.77	2.906	70
31.97	2.800	92
32.15	2.784	35
32.64	2.743	38
43.08	2.100	28
47.68	1.907	28
61.61	1.505	20